# 1
# RbTlH2Pd
Calculated powder diffraction line list, λ = 1.5418 Å (Cu Kα). Input: a DFT-relaxed cell (PBE, OQMD).
No peak broadening, texture or thermal motion is included.

Main lines, in order of rising 2θ (2θ = 10–90°):
hkl 0 0 2, 2θ 13.26, I 77; hkl 0 0 4, 2θ 26.70, I 32; hkl 1 0 3, 2θ 30.39, I 100; hkl 1 1 0, 2θ 32.31, I 83; hkl 1 1 2, 2θ 35.06, I 30; hkl 1 0 5, 2θ 40.89, I 33; hkl 1 1 4, 2θ 42.39, I 37; hkl 2 0 0, 2θ 46.34, I 30; hkl 1 0 7, 2θ 53.42, I 32; hkl 2 1 3, 2θ 56.43, I 35

Cell and atoms:
```
data_RbTlH2Pd
_symmetry_space_group_name_H-M 'I 4 m m'
_symmetry_Int_Tables_number 107
_symmetry_space_group_name_Hall 'I 4 -2'
_cell_length_a 3.918
_cell_length_b 3.918
_cell_length_c 13.354
_cell_angle_alpha 90.00
_cell_angle_beta 90.00
_cell_angle_gamma 90.00
loop_
_atom_site_label
_atom_site_fract_x
_atom_site_fract_y
_atom_site_fract_z
_atom_site_occupancy
Rb1 0.000 0.000 0.000 1
Tl1 0.000 0.000 0.736 1
H1 0.000 0.000 0.190 1
H2 0.000 0.000 0.442 1
Pd1 0.000 0.000 0.314 1
```

---

# 2
# YHPd3
Calculated powder diffraction line list, λ = 1.5418 Å (Cu Kα). Input: a DFT-relaxed cell (PBE, OQMD).
No peak broadening, texture or thermal motion is included.

Main lines, in order of rising 2θ (2θ = 10–90°):
hkl 1 0 0, 2θ 17.40, I 3; hkl 2 0 0, 2θ 35.21, I 24; hkl 0 0 2, 2θ 36.60, I 29; hkl 2 0 1, 2θ 39.85, I 100; hkl 2 0 2, 2θ 51.69, I 16; hkl 2 2 0, 2θ 63.19, I 16; hkl 2 0 3, 2θ 68.07, I 20; hkl 2 2 2, 2θ 75.29, I 19; hkl 4 0 1, 2θ 77.37, I 13; hkl 2 0 4, 2θ 88.37, I 3

Cell and atoms:
```
data_YHPd3
_symmetry_space_group_name_H-M 'P 63/m m c'
_symmetry_Int_Tables_number 194
_symmetry_space_group_name_Hall '-P 6c 2c'
_cell_length_a 5.8857
_cell_length_b 5.8857
_cell_length_c 4.9109
_cell_angle_alpha 90.00
_cell_angle_beta 90.00
_cell_angle_gamma 120.00
loop_
_atom_site_label
_atom_site_fract_x
_atom_site_fract_y
_atom_site_fract_z
_atom_site_occupancy
Y1 0.3333 0.6667 0.2500 1
H1 0.3333 0.6667 0.7500 1
Pd1 0.1563 0.3127 0.7500 1
```